Starting from a cell relaxed with PBE, the powder XRD pattern of BaAcAl3 was simulated for λ = 1.5418 Å (Cu Kα).
Neutral-atom scattering factors, no anomalous dispersion.

Principal peaks in the range 2θ = 10–90°, by intensity:
2θ 28.65, I = 100.0
2θ 22.92, I = 80.1
2θ 28.23, I = 68.1
2θ 31.13, I = 47.7
2θ 18.96, I = 42.5
2θ 23.98, I = 35.1
2θ 49.34, I = 29.5
2θ 44.81, I = 28.2
2θ 41.54, I = 26.0
2θ 43.41, I = 24.5

Cell and atoms:
```
BaAcAl3
1.0
2.3703 -14.8448 0.0000
2.3703 14.8448 0.0000
0.0000 0.0000 4.5514
Ba Ac Al
2 2 6
Direct
0.1994 0.8006 0.7500 Ba
0.8006 0.1994 0.2500 Ba
0.0648 0.9352 0.2500 Ac
0.9352 0.0648 0.7500 Ac
0.3447 0.6553 0.7500 Al
0.3900 0.6100 0.2500 Al
0.4778 0.5222 0.2500 Al
0.5222 0.4778 0.7500 Al
0.6100 0.3900 0.7500 Al
0.6553 0.3447 0.2500 Al
```